[1]
The following is a calculated X-ray powder pattern of BaGaB4H3O10. It was derived from a GGA-PBE-relaxed structure, using Cu Kα X-rays.

a = 7.197 Å, b = 7.232 Å, c = 9.985 Å
α = 106.34°, β = 91.23°, γ = 119.51°
Positions (direct):
Ba 0.081 0.295 0.209
Ba 0.919 0.705 0.791
Ga 0.392 0.910 0.120
Ga 0.608 0.090 0.880
B 0.063 0.253 0.855
B 0.302 0.603 0.795
B 0.377 0.764 0.590
B 0.439 0.366 0.845
B 0.561 0.634 0.155
B 0.623 0.236 0.410
B 0.698 0.397 0.205
B 0.937 0.747 0.145
H 0.145 0.337 0.531
H 0.149 0.110 0.473
H 0.381 0.828 0.404
H 0.619 0.172 0.596
H 0.851 0.890 0.527
H 0.855 0.663 0.469
O 0.084 0.191 0.450
O 0.091 0.435 0.822
O 0.119 0.889 0.103
O 0.230 0.204 0.855
O 0.253 0.596 0.648
O 0.320 0.699 0.443
O 0.366 0.825 0.898
O 0.384 0.646 0.122
O 0.461 0.026 0.330
O 0.471 0.546 0.806
O 0.529 0.454 0.194
O 0.539 0.974 0.670
O 0.616 0.354 0.878
O 0.634 0.175 0.102
O 0.680 0.301 0.557
O 0.747 0.404 0.352
O 0.770 0.796 0.145
O 0.881 0.111 0.897
O 0.909 0.565 0.178
O 0.916 0.809 0.550

Most intense lines, 2θ from 10° to 90°, in order of rising 2θ:
two_theta, Rel. int.
14.75, 58
18.42, 28
18.87, 46
24.74, 100
25.70, 58
26.94, 42
28.47, 56
30.10, 42
38.28, 41
43.31, 53


[2]
The following is a calculated X-ray powder pattern of La2SmSn2Hg2. It was derived from a GGA-PBE-relaxed structure, using Cu Kα X-rays.

a = 9.795 Å, b = 9.795 Å, c = 9.795 Å
α = 29.69°, β = 29.69°, γ = 29.69°
Positions (direct):
La 0.131 0.131 0.131
La 0.869 0.869 0.869
Sm 0.000 0.000 0.000
Sn 0.274 0.274 0.274
Sn 0.726 0.726 0.726
Hg 0.424 0.424 0.424
Hg 0.576 0.576 0.576

Most intense lines, 2θ from 10° to 90°, in order of rising 2θ:
two_theta, Rel. int.
18.97, 11
30.33, 100
35.78, 75
40.81, 10
47.59, 29
50.10, 15
60.95, 28
64.30, 14
74.70, 10
83.79, 12


[3]
The following is a calculated X-ray powder pattern of Rb3Sb2Br9. It was derived from a GGA-PBE-relaxed structure, using Cu Kα X-rays.

a = 10.376 Å, b = 10.376 Å, c = 10.376 Å
α = 81.42°, β = 81.42°, γ = 81.42°
Positions (direct):
Rb 0.075 0.750 0.425
Rb 0.250 0.575 0.925
Rb 0.425 0.075 0.750
Rb 0.575 0.925 0.250
Rb 0.750 0.425 0.075
Rb 0.925 0.250 0.575
Sb 0.156 0.156 0.156
Sb 0.344 0.344 0.344
Sb 0.656 0.656 0.656
Sb 0.844 0.844 0.844
Br 0.077 0.423 0.250
Br 0.083 0.908 0.742
Br 0.092 0.258 0.917
Br 0.242 0.408 0.583
Br 0.250 0.077 0.423
Br 0.258 0.917 0.092
Br 0.408 0.583 0.242
Br 0.417 0.758 0.592
Br 0.423 0.250 0.077
Br 0.577 0.750 0.923
Br 0.583 0.242 0.408
Br 0.592 0.417 0.758
Br 0.742 0.083 0.908
Br 0.750 0.923 0.577
Br 0.758 0.592 0.417
Br 0.908 0.742 0.083
Br 0.917 0.092 0.258
Br 0.923 0.577 0.750

Most intense lines, 2θ from 10° to 90°, in order of rising 2θ:
two_theta, Rel. int.
13.08, 21
26.11, 18
29.46, 100
37.43, 36
46.48, 28
48.20, 24
54.09, 13
55.98, 18
73.72, 12
75.65, 12


[4]
The following is a calculated X-ray powder pattern of CuNF2. It was derived from a GGA-PBE-relaxed structure, using Cu Kα X-rays.

a = 3.548 Å, b = 3.548 Å, c = 7.045 Å
α = 105.35°, β = 105.35°, γ = 49.30°
Positions (direct):
Cu 0.000 0.000 0.000
N 0.499 0.499 0.501
F 0.325 0.325 0.862
F 0.675 0.675 0.139

Most intense lines, 2θ from 10° to 90°, in order of rising 2θ:
two_theta, Rel. int.
13.14, 100
26.45, 18
28.09, 11
28.94, 9
33.17, 24
37.79, 22
42.31, 7
45.97, 11
52.62, 10
56.80, 8


[5]
The following is a calculated X-ray powder pattern of CeBeN. It was derived from a GGA-PBE-relaxed structure, using Cu Kα X-rays.

a = 7.058 Å, b = 7.058 Å, c = 3.036 Å
α = 90.00°, β = 90.00°, γ = 90.00°
Positions (direct):
Ce 0.049 0.701 0.000
Ce 0.299 0.049 0.500
Ce 0.701 0.951 0.500
Ce 0.951 0.299 0.000
Be 0.353 0.384 0.000
Be 0.384 0.647 0.500
Be 0.616 0.353 0.500
Be 0.647 0.616 0.000
N 0.255 0.438 0.500
N 0.438 0.745 0.000
N 0.562 0.255 0.000
N 0.745 0.562 0.500

Most intense lines, 2θ from 10° to 90°, in order of rising 2θ:
two_theta, Rel. int.
12.54, 52
17.77, 32
28.28, 96
32.10, 75
35.99, 43
38.26, 35
39.14, 100
40.42, 41
50.77, 37
55.89, 39


[6]
The following is a calculated X-ray powder pattern of Sr2Pd7. It was derived from a GGA-PBE-relaxed structure, using Cu Kα X-rays.

a = 13.831 Å, b = 13.831 Å, c = 13.831 Å
α = 22.99°, β = 22.99°, γ = 22.99°
Positions (direct):
Sr 0.051 0.051 0.051
Sr 0.148 0.148 0.148
Sr 0.852 0.852 0.852
Sr 0.949 0.949 0.949
Pd 0.000 0.500 0.500
Pd 0.109 0.611 0.611
Pd 0.278 0.278 0.278
Pd 0.388 0.388 0.388
Pd 0.389 0.389 0.891
Pd 0.389 0.891 0.389
Pd 0.500 0.000 0.500
Pd 0.500 0.500 0.000
Pd 0.500 0.500 0.500
Pd 0.611 0.109 0.611
Pd 0.611 0.611 0.109
Pd 0.612 0.612 0.612
Pd 0.722 0.722 0.722
Pd 0.891 0.389 0.389

Most intense lines, 2θ from 10° to 90°, in order of rising 2θ:
two_theta, Rel. int.
18.71, 25
32.48, 20
37.75, 26
38.32, 100
40.20, 29
41.86, 34
44.07, 17
61.86, 24
68.02, 25
82.06, 21


[7]
The following is a calculated X-ray powder pattern of YTcW. It was derived from a GGA-PBE-relaxed structure, using Cu Kα X-rays.

a = 5.463 Å, b = 5.463 Å, c = 5.463 Å
α = 119.78°, β = 119.16°, γ = 90.93°
Positions (direct):
Y 0.377 0.127 0.250
Y 0.623 0.873 0.750
Tc 0.000 0.500 0.500
Tc 0.500 0.500 0.000
W 0.000 0.000 0.500
W 0.000 0.500 0.000

Most intense lines, 2θ from 10° to 90°, in order of rising 2θ:
two_theta, Rel. int.
19.79, 58
32.79, 21
38.29, 45
38.49, 100
38.85, 70
40.21, 59
40.46, 56
61.83, 25
62.07, 22
68.74, 41


[8]
The following is a calculated X-ray powder pattern of Li7PaSe6. It was derived from a GGA-PBE-relaxed structure, using Cu Kα X-rays.

a = 7.825 Å, b = 7.825 Å, c = 7.825 Å
α = 55.83°, β = 55.83°, γ = 55.83°
Positions (direct):
Li 0.000 0.000 0.000
Li 0.150 0.749 0.444
Li 0.188 0.535 0.906
Li 0.444 0.150 0.749
Li 0.535 0.906 0.188
Li 0.749 0.444 0.150
Li 0.906 0.188 0.535
Pa 0.662 0.662 0.662
Se 0.043 0.417 0.770
Se 0.266 0.887 0.590
Se 0.417 0.770 0.043
Se 0.590 0.266 0.887
Se 0.770 0.043 0.417
Se 0.887 0.590 0.266

Most intense lines, 2θ from 10° to 90°, in order of rising 2θ:
two_theta, Rel. int.
13.45, 23
14.66, 69
16.61, 54
22.82, 16
27.87, 100
36.70, 53
42.75, 38
48.34, 29
51.81, 16
72.81, 13